Starting from a DFT-relaxed cell (GGA-PBE, Alexandria), the XRD peak list of Y5Cd was computed for CuKα.
Kinematic intensities with the Lorentz-polarization factor, no thermal factor.

Atomic structure:
```
data_Y5Cd
_chemical_formula_sum 'Y10 Cd2'
_symmetry_space_group_name_H-M 'A m m 2'
_symmetry_Int_Tables_number 38
_symmetry_space_group_name_Hall 'A 2 -2'
_cell_length_a 5.5484
_cell_length_b 3.6508
_cell_length_c 18.0523
_cell_angle_alpha 90.00
_cell_angle_beta 90.00
_cell_angle_gamma 90.00
loop_
_atom_site_label
_atom_site_fract_x
_atom_site_fract_y
_atom_site_fract_z
_atom_site_occupancy
Y1 0.0000 0.0000 0.0000 1
Y2 0.0000 0.0000 0.3264 1
Y3 0.0000 0.0000 0.6578 1
Y4 0.5000 0.0000 0.2060 1
Y5 0.5000 0.0000 0.8791 1
Cd1 0.5000 0.0000 0.5464 1
```

Top 12 peaks for 10 to 90 degrees two-theta, sorted by position:
index, 2theta, d (Å), I (rel.)
0 1 3, 28.6, 3.121, 18
0 0 6, 29.7, 3.009, 15
2 0 0, 32.3, 2.774, 33
1 1 3, 32.9, 2.720, 100
1 0 6, 33.9, 2.645, 37
2 1 3, 43.7, 2.074, 11
0 1 9, 52.0, 1.758, 15
3 1 3, 58.0, 1.591, 19
2 2 0, 60.7, 1.525, 10
1 2 6, 61.7, 1.502, 13
2 1 9, 62.6, 1.485, 17
3 0 12, 82.7, 1.166, 10